# 1
Diffraction record for DyZrTi. The powder diffraction line list is computed, not measured: it uses a crystal structure in Alexandria, relaxed with GGA-PBE and Cu Kα, 1.54184 Å.
Neutral-atom scattering factors, no anomalous dispersion.

Peak list (6 most intense, 2θ = 5–70°, in order of rising 2θ)
20.3 deg, d 4.383, rel. 17
31.8 deg, d 2.818, rel. 24
35.0 deg, d 2.561, rel. 25
36.4 deg, d 2.469, rel. 100
48.0 deg, d 1.895, rel. 15
63.7 deg, d 1.460, rel. 19

```
6
Lattice="3.2485 0.0000 0.0000 0.0000 5.1226 0.0000 -1.6228 0.0000 8.4673" Properties=species:S:1:pos:R:3 pbc="T T T"
Dy -0.0015 1.2807 1.7812
Dy 1.6271 3.8420 6.6861
Zr 0.0028 3.8420 3.6930
Zr 1.6228 1.2807 4.7743
Ti -0.0003 1.2807 7.5768
Ti 1.6260 3.8420 0.8905
```

# 2
Diffraction record for PmPrHo4Er2. The powder diffraction line list is computed, not measured: it uses a crystal structure in Alexandria, relaxed with GGA-PBE and Cu Kα, 1.54184 Å.
Neutral-atom scattering factors, no anomalous dispersion.

Peak list (6 most intense, 2θ = 5–70°, in order of rising 2θ)
26.9 deg, d 3.310, rel. 45
30.4 deg, d 2.944, rel. 100
41.0 deg, d 2.200, rel. 88
54.0 deg, d 1.700, rel. 20
61.3 deg, d 1.512, rel. 27
64.6 deg, d 1.443, rel. 23

```
16
Lattice="6.8005 -6.6208 0.0000 6.8005 6.6208 0.0000 -3.3905 0.0000 5.8853" Properties=species:S:1:pos:R:3 pbc="T T T"
Pm 3.4003 3.3104 0.0000
Pm 1.7050 -3.3104 2.9427
Pr 0.0000 0.0000 0.0000
Pr -1.6953 0.0000 2.9427
Ho 1.7455 0.0316 2.9790
Ho 5.1014 3.2513 2.9503
Ho 3.4139 3.2513 5.8777
Ho 3.4407 -0.0316 0.0364
Ho 6.7698 0.0316 5.8489
Ho 6.7966 -3.2513 0.0076
Ho 5.1091 -3.2513 2.9350
Ho 8.4650 -0.0316 2.9063
Er 1.7050 3.3104 2.9427
Er 3.4003 -3.3104 0.0000
Er 6.8005 0.0000 0.0000
Er 5.1053 0.0000 2.9427
```

# 3
Diffraction record for Cs4AgCl3. The powder diffraction line list is computed, not measured: it uses a crystal structure in Alexandria, relaxed with GGA-PBE and Cu Kα, 1.54184 Å.
Neutral-atom scattering factors, no anomalous dispersion.

Peak list (6 most intense, 2θ = 5–70°, in order of rising 2θ)
21.3 deg, d 4.164, rel. 29
24.7 deg, d 3.606, rel. 100
35.2 deg, d 2.550, rel. 77
43.5 deg, d 2.082, rel. 28
57.1 deg, d 1.613, rel. 36
63.2 deg, d 1.472, rel. 27

```
8
Lattice="7.2121 0.0000 0.0000 0.0000 7.2121 0.0000 0.0000 0.0000 7.2121" Properties=species:S:1:pos:R:3 pbc="T T T"
Cs 0.0000 0.0000 0.0000
Cs 0.0000 3.6060 3.6060
Cs 3.6060 0.0000 3.6060
Cs 3.6060 3.6060 0.0000
Ag 3.6060 3.6060 3.6060
Cl 0.0000 0.0000 3.6060
Cl 0.0000 3.6060 0.0000
Cl 3.6060 0.0000 0.0000
```